# 1
Starting from the GGA-PBE geometry in Alexandria, the X-ray diffraction stick pattern of Ho5TmCd6 was simulated for copper Kα.

Cell and atoms:
a = 5.2548 Å, b = 15.8016 Å, c = 7.4576 Å
α = 90.00°, β = 90.00°, γ = 90.00°
Space group Cmmm (No. 65)
Asymmetric unit:
Ho (0.0000, 0.0000, 0.0000) [2 per cell]
Ho (0.0000, 0.3328, 0.0000) [4 per cell]
Ho (0.0000, 0.3338, 0.5000) [4 per cell]
Tm (0.0000, 0.0000, 0.5000) [2 per cell]
Cd (0.0000, 0.1662, 0.2513) [8 per cell]
Cd (0.0000, 0.5000, 0.2512) [4 per cell]

Principal peaks in the range 10 to 80 degrees two-theta, by angle:
23.90 deg, d 3.723, rel. 4, (1 3 0)
34.06 deg, d 2.633, rel. 100, (2 0 0)
42.04 deg, d 2.149, rel. 1, (2 0 2)
48.85 deg, d 1.864, rel. 6, (0 0 4)
48.97 deg, d 1.860, rel. 12, (2 6 0)
55.14 deg, d 1.666, rel. 1, (2 6 2)
60.92 deg, d 1.521, rel. 24, (2 0 4)
61.04 deg, d 1.518, rel. 12, (3 3 2)
71.67 deg, d 1.317, rel. 9, (2 6 4)
71.87 deg, d 1.314, rel. 2, (4 0 0)

=====

# 2
Starting from the GGA-PBE geometry in Alexandria, the X-ray diffraction stick pattern of Y4Ho7Cd was simulated for copper Kα.

Cell and atoms:
a = 5.5405 Å, b = 5.5405 Å, c = 13.6454 Å
α = 90.00°, β = 90.00°, γ = 120.00°
Space group P-3m1 (No. 164)
Asymmetric unit:
Y (0.3333, 0.6667, 0.3715) [2 per cell]
Y (0.3333, 0.6667, 0.8858) [2 per cell]
Ho (0.0000, 0.0000, 0.2496) [2 per cell]
Ho (0.0000, 0.0000, 0.5000) [1 per cell]
Ho (0.3333, 0.6667, 0.1179) [2 per cell]
Ho (0.3333, 0.6667, 0.6297) [2 per cell]
Cd (0.0000, 0.0000, 0.0000) [1 per cell]

Principal peaks in the range 10 to 80 degrees two-theta, by angle:
22.66 deg, d 3.925, rel. 12, (1 0 2)
32.20 deg, d 2.780, rel. 94, (1 0 4)
32.32 deg, d 2.770, rel. 100, (1 1 0)
42.01 deg, d 2.150, rel. 6, (1 1 4)
46.26 deg, d 1.962, rel. 34, (0 2 4)
53.74 deg, d 1.706, rel. 7, (0 0 8)
57.58 deg, d 1.601, rel. 55, (3 0 0)
64.12 deg, d 1.452, rel. 26, (1 1 8)
67.64 deg, d 1.385, rel. 12, (2 2 0)
76.90 deg, d 1.240, rel. 15, (1 3 4)